No. 1
The following is a calculated powder diffractogram of Ti2AlO4. It was derived from a GGA-PBE-relaxed structure, using λ = 1.5418 Å (Cu Kα).

Structural model:
abc: 5.436 5.436 10.428
angles: 90.00 90.00 90.00
Space group I4_1/a (No. 88, origin choice 2)
Inequivalent atoms, fractional coordinates:
Ti  0.000  0.000  0.000 [8 per cell]
Al  0.000  0.250  0.625 [4 per cell]
O  0.190  0.027  0.403 [16 per cell]

Largest 12 diffraction maxima, low angle first, 15° ≤ 2θ ≤ 90°:
d [Å], Position (°2θ), I (rel.), hkl
4.820, 18.4, 30, 1 0 1
2.929, 30.5, 78, 1 0 3
2.410, 37.3, 100, 2 0 2
2.368, 38.0, 80, 1 2 1
1.992, 45.5, 14, 2 1 3
1.947, 46.6, 33, 1 0 5
1.607, 57.3, 15, 3 0 3
1.547, 59.8, 55, 2 2 4
1.492, 62.2, 28, 2 3 1
1.464, 63.5, 15, 2 0 6
1.359, 69.1, 15, 4 0 0
1.184, 81.3, 14, 4 2 2



No. 2
The following is a calculated powder diffractogram of Ti2AlO4. It was derived from a GGA-PBE-relaxed structure, using λ = 1.5418 Å (Cu Kα).

Structural model:
abc: 5.665 6.082 8.132
angles: 90.00 90.00 90.00
Space group Imma (No. 74)
Inequivalent atoms, fractional coordinates:
Ti  0.000  0.000  0.000 [4 per cell]
Ti  0.250  0.250  0.250 [4 per cell]
Al  0.250  0.250  0.750 [4 per cell]
O  0.000  0.031  0.747 [8 per cell]
O  0.236  0.250  0.984 [8 per cell]

Largest 12 diffraction maxima, low angle first, 15° ≤ 2θ ≤ 90°:
d [Å], Position (°2θ), I (rel.), hkl
4.648, 19.1, 73, 1 0 1
2.545, 35.3, 22, 1 2 1
2.446, 36.7, 19, 1 0 3
2.435, 36.9, 17, 0 2 2
2.324, 38.7, 14, 2 0 2
2.073, 43.7, 100, 2 2 0
2.033, 44.6, 47, 0 0 4
1.520, 60.9, 15, 0 4 0
1.451, 64.2, 51, 2 2 4
1.416, 66.0, 12, 4 0 0
1.218, 78.6, 12, 0 4 4
1.162, 83.1, 11, 4 0 4



No. 3
The following is a calculated powder diffractogram of Ti2AlO4. It was derived from a GGA-PBE-relaxed structure, using λ = 1.5418 Å (Cu Kα).

Structural model:
abc: 8.365 8.365 8.365
angles: 90.00 90.00 90.00
Space group Fd-3m (No. 227, origin choice 2)
Inequivalent atoms, fractional coordinates:
Ti  0.000  0.000  0.000 [16 per cell]
Al  0.125  0.125  0.625 [8 per cell]
O  0.002  0.002  0.748 [32 per cell]

Largest 12 diffraction maxima, low angle first, 15° ≤ 2θ ≤ 90°:
d [Å], Position (°2θ), I (rel.), hkl
4.830, 18.4, 31, 1 1 1
2.958, 30.2, 13, 2 2 0
2.522, 35.6, 100, 3 1 1
2.415, 37.2, 5, 2 2 2
2.091, 43.3, 53, 4 0 0
1.919, 47.4, 8, 3 3 1
1.708, 53.7, 5, 4 2 2
1.610, 57.2, 29, 3 3 3
1.479, 62.8, 58, 4 4 0
1.414, 66.1, 4, 5 3 1
1.276, 74.4, 10, 5 3 3
1.207, 79.4, 8, 4 4 4



No. 4
The following is a calculated powder diffractogram of Al11TlO17. It was derived from a GGA-PBE-relaxed structure, using λ = 1.5418 Å (Cu Kα).

Structural model:
abc: 23.083 9.794 5.653
angles: 90.00 90.00 90.00
Space group Ama2 (No. 40)
Inequivalent atoms, fractional coordinates:
Al  0.000  0.000  0.000 [4 per cell]
Al  0.025  0.167  0.500 [8 per cell]
Al  0.105  0.167  0.000 [8 per cell]
Al  0.105  0.416  0.249 [8 per cell]
Al  0.105  0.416  0.751 [8 per cell]
Al  0.175  0.167  0.499 [8 per cell]
Tl  0.250  0.339  0.982 [4 per cell]
O  0.049  0.079  0.236 [8 per cell]
O  0.049  0.079  0.764 [8 per cell]
O  0.049  0.343  0.500 [8 per cell]
O  0.055  0.333  0.000 [8 per cell]
O  0.140  0.000  0.000 [8 per cell]
O  0.144  0.251  0.247 [8 per cell]
O  0.144  0.251  0.752 [8 per cell]
O  0.144  0.499  0.000 [8 per cell]
O  0.250  0.166  0.501 [4 per cell]

Largest 12 diffraction maxima, low angle first, 15° ≤ 2θ ≤ 90°:
d [Å], Position (°2θ), I (rel.), hkl
4.790, 18.5, 88, 1 2 0
4.508, 19.7, 83, 2 1 1
4.131, 21.5, 46, 3 2 0
3.734, 23.8, 34, 4 1 1
3.359, 26.5, 45, 5 2 0
2.827, 31.6, 56, 0 3 1
2.746, 32.6, 38, 2 0 2
2.735, 32.7, 100, 7 2 0
2.539, 35.4, 91, 4 3 1
2.163, 41.8, 49, 5 2 2
1.614, 57.1, 50, 7 5 1
1.414, 66.1, 36, 0 6 2



No. 5
The following is a calculated powder diffractogram of UAlO3. It was derived from a GGA-PBE-relaxed structure, using λ = 1.5418 Å (Cu Kα).

Structural model:
abc: 3.767 3.767 3.767
angles: 90.00 90.00 90.00
Space group Pm-3m (No. 221)
Inequivalent atoms, fractional coordinates:
U  0.000  0.000  0.000 [1 per cell]
Al  0.500  0.500  0.500 [1 per cell]
O  0.000  0.500  0.500 [3 per cell]

Largest 10 diffraction maxima, low angle first, 15° ≤ 2θ ≤ 90°:
d [Å], Position (°2θ), I (rel.), hkl
3.767, 23.6, 69, 1 0 0
2.663, 33.7, 100, 1 1 0
2.175, 41.5, 41, 1 1 1
1.883, 48.3, 29, 2 0 0
1.684, 54.5, 33, 2 1 0
1.538, 60.2, 40, 2 1 1
1.332, 70.7, 18, 2 2 0
1.256, 75.8, 17, 3 0 0
1.191, 80.7, 19, 3 1 0
1.136, 85.5, 16, 3 1 1